No. 1
This entry pairs a crystal structure of MgB2H8 with its calculated X-ray diffraction stick pattern. Radiation: Cu Kα, 1.54184 Å. Structure: a PBE-relaxed structure.

Structural model:
Lattice parameters (Å, degrees): 7.6976 7.6976 7.6976 115.25 115.25 98.44
Sites, in units of the cell vectors:
1 Mg 0.0000 0.0000 0.0000
2 Mg 0.7500 0.2500 0.5000
3 B 0.3689 0.0995 0.2694
4 B 0.8301 0.0995 0.7306
5 B 0.9005 0.1699 0.2694
6 B 0.9005 0.6311 0.7306
7 H 0.0214 0.2727 0.2513
8 H 0.0214 0.7701 0.7487
9 H 0.0222 0.1650 0.8572
10 H 0.2299 0.9786 0.2513
11 H 0.3078 0.1650 0.1428
12 H 0.4682 0.0012 0.2160
13 H 0.4682 0.2522 0.4670
14 H 0.7273 0.9786 0.7487
15 H 0.7478 0.2148 0.2160
16 H 0.7478 0.5318 0.5330
17 H 0.7852 0.0012 0.5330
18 H 0.7852 0.2522 0.7840
19 H 0.8350 0.6922 0.8572
20 H 0.8350 0.9778 0.1428
21 H 0.9988 0.2148 0.4670
22 H 0.9988 0.5318 0.7840

Most intense lines, 2θ from 5° to 70°, most intense first:
two_theta	I (rel.)
13.9	100
23.4	14
21.6	10
36.2	8
38.9	8
33.8	7
28.0	5
47.8	4
48.2	4
46.3	4

No. 2
This entry pairs a crystal structure of MgB2H8 with its calculated X-ray diffraction stick pattern. Radiation: Cu Kα, 1.54184 Å. Structure: a PBE-relaxed structure.

Structural model:
Lattice parameters (Å, degrees): 5.6491 5.6491 6.0408 90.00 90.00 90.00
Sites, in units of the cell vectors:
1 Mg 0.0000 0.0000 0.0000
2 Mg 0.5000 0.5000 0.5000
3 B 0.2394 0.2394 0.7444
4 B 0.2606 0.7394 0.2444
5 B 0.7394 0.2606 0.2444
6 B 0.7606 0.7606 0.7444
7 H 0.0403 0.3004 0.8033
8 H 0.1204 0.8796 0.3237
9 H 0.1996 0.5403 0.3033
10 H 0.2335 0.2335 0.5442
11 H 0.2665 0.7335 0.0442
12 H 0.3004 0.0403 0.8033
13 H 0.3796 0.3796 0.8237
14 H 0.4597 0.8004 0.3033
15 H 0.5403 0.1996 0.3033
16 H 0.6204 0.6204 0.8237
17 H 0.6996 0.9597 0.8033
18 H 0.7335 0.2665 0.0442
19 H 0.7665 0.7665 0.5442
20 H 0.8004 0.4597 0.3033
21 H 0.8796 0.1204 0.3237
22 H 0.9597 0.6996 0.8033

Most intense lines, 2θ from 5° to 70°, most intense first:
two_theta	I (rel.)
21.5	100
22.3	48
26.8	44
38.6	43
43.9	33
37.3	25
45.4	16
50.8	14
58.6	14
48.0	12